Structure and simulated powder X-ray diffraction pattern of MgZnCrSn (a structure optimized by DFT (GGA-PBE); Cu Kα X-rays).

Structure:
```
data_MgZnCrSn
_chemical_formula_sum 'Mg1 Zn1 Cr1 Sn1'
_symmetry_space_group_name_H-M 'P 1 2/m 1'
_symmetry_Int_Tables_number 10
_symmetry_space_group_name_Hall '-P 2y'
_cell_length_a 4.6484
_cell_length_b 3.3082
_cell_length_c 5.0341
_cell_angle_alpha 90.00
_cell_angle_beta 103.73
_cell_angle_gamma 90.00
loop_
_atom_site_label
_atom_site_type_symbol
_atom_site_fract_x
_atom_site_fract_y
_atom_site_fract_z
Mg1 Mg 0.0000 0.0000 0.0000
Zn1 Zn 0.5000 0.5000 0.0000
Cr1 Cr 0.0000 0.5000 0.5000
Sn1 Sn 0.5000 0.0000 0.5000
```

Largest 12 diffraction maxima, by angle, 2θ from 15° to 90°:
(hkl)  two_theta  I_rel
0 0 1  18.1  223
1 0 0  19.7  370
0 1 1  32.7  222
1 1 -1  36.0  1000
0 0 2  36.8  472
2 0 0  39.9  374
1 1 1  40.7  707
2 0 -2  47.9  219
1 1 -3  62.5  193
3 1 -1  66.8  157
0 2 2  68.5  159
2 2 0  70.6  146